Computed PXRD pattern of LiMn3Al2H6O12 for CuKα, from DFT lattice parameters and positions (PBE+U).
Peak positions follow from Bragg's law for the DFT cell and can differ from measured ones.

Structural model:
Cell lengths 5.9445, 7.8696, 10.1221 Å; angles 109.40, 90.43, 100.73 degrees
Sites, in units of the cell vectors:
Li  0.1579  0.1562  0.0010
Li  0.8421  0.8438  0.9990
Mn  0.0000  0.5000  0.5000
Mn  0.1624  0.1685  0.5038
Mn  0.3365  0.8308  0.4975
Mn  0.5000  0.5000  0.5000
Mn  0.6635  0.1692  0.5025
Mn  0.8376  0.8315  0.4962
Al  0.0000  0.5000  0.0000
Al  0.3317  0.8381  0.9980
Al  0.5000  0.5000  0.0000
Al  0.6683  0.1619  0.0020
H  0.0928  0.8054  0.2032
H  0.1086  0.8427  0.7904
H  0.2451  0.5103  0.7875
H  0.2461  0.4888  0.2034
H  0.4224  0.1396  0.2087
H  0.4388  0.1940  0.8016
H  0.5612  0.8060  0.1984
H  0.5776  0.8604  0.7913
H  0.7539  0.5112  0.7966
H  0.7549  0.4897  0.2125
H  0.8914  0.1573  0.2096
H  0.9072  0.1946  0.7968
O  0.0723  0.7671  0.5984
O  0.0841  0.7571  0.1001
O  0.0962  0.9054  0.3966
O  0.1144  0.8815  0.8923
O  0.2050  0.4268  0.6119
O  0.2389  0.4516  0.1004
O  0.2616  0.5511  0.3965
O  0.2654  0.5568  0.8928
O  0.4013  0.1081  0.6038
O  0.4177  0.0921  0.1058
O  0.4202  0.2310  0.4001
O  0.4551  0.2439  0.9045
O  0.5449  0.7561  0.0955
O  0.5798  0.7690  0.5999
O  0.5823  0.9079  0.8942
O  0.5987  0.8919  0.3962
O  0.7346  0.4432  0.1072
O  0.7384  0.4489  0.6035
O  0.7611  0.5484  0.8996
O  0.7950  0.5732  0.3881
O  0.8856  0.1185  0.1077
O  0.9038  0.0946  0.6034
O  0.9159  0.2429  0.8999
O  0.9277  0.2329  0.4016

Peak list (6 most intense, 2θ = 5–70°, low angle first)
d (Å)  Position (°2θ)  intensity
9.521  9.29  63
4.760  18.64  100
2.427  37.05  39
2.415  37.23  19
1.919  47.36  16
1.905  47.73  17

Computed PXRD pattern of MgFe6O7F5 for CuKα, from DFT lattice parameters and positions (PBE+U).
Peak positions follow from Bragg's law for the DFT cell and can differ from measured ones.

Structural model:
Cell lengths 5.1330, 8.8718, 5.2081 Å; angles 90.00, 101.81, 90.00 degrees
Sites, in units of the cell vectors:
Mg  0.0000  0.0000  0.0000
Fe  0.0314  0.5000  0.3744
Fe  0.4846  0.3230  0.9160
Fe  0.4846  0.6770  0.9160
Fe  0.5087  0.0000  0.9544
Fe  0.8812  0.1917  0.4985
Fe  0.8812  0.8083  0.4985
O  0.1776  0.3304  0.6175
O  0.1776  0.6696  0.6175
O  0.7060  0.1648  0.7901
O  0.7060  0.8352  0.7901
O  0.7516  0.3422  0.2467
O  0.7516  0.6578  0.2467
O  0.8022  0.0000  0.2870
F  0.1549  0.0000  0.6787
F  0.2635  0.5000  0.1042
F  0.2775  0.1633  0.1028
F  0.2775  0.8367  0.1028
F  0.6410  0.5000  0.7733

Peak list (6 most intense, 2θ = 5–70°, low angle first)
d (Å)  Position (°2θ)  intensity
4.013  22.15  100
3.260  27.35  87
2.558  35.08  45
2.549  35.21  50
2.381  37.79  29
1.707  53.70  28

Computed PXRD pattern of CoGe2O6 for CuKα, from DFT lattice parameters and positions (PBE+U).
Peak positions follow from Bragg's law for the DFT cell and can differ from measured ones.

Structural model:
Cell lengths 6.6717, 6.6717, 5.5529 Å; angles 102.99, 102.99, 83.37 degrees
Sites, in units of the cell vectors:
Co  0.1036  0.8964  0.7500
Co  0.8964  0.1036  0.2500
Ge  0.2033  0.3793  0.7282
Ge  0.3793  0.2033  0.2282
Ge  0.6207  0.7967  0.7718
Ge  0.7967  0.6207  0.2718
O  0.0287  0.1801  0.6217
O  0.0861  0.6346  0.7949
O  0.1801  0.0287  0.1217
O  0.3419  0.3879  0.4969
O  0.3654  0.9139  0.7051
O  0.3879  0.3419  0.9969
O  0.6121  0.6581  0.0031
O  0.6346  0.0861  0.2949
O  0.6581  0.6121  0.5031
O  0.8199  0.9713  0.8783
O  0.9139  0.3654  0.2051
O  0.9713  0.8199  0.3783

Peak list (6 most intense, 2θ = 5–70°, low angle first)
d (Å)  Position (°2θ)  intensity
4.590  19.34  72
4.437  20.01  51
3.060  29.19  100
2.983  29.95  83
2.648  33.85  49
2.543  35.30  63

Computed PXRD pattern of Li10Fe2Co3Ni3O16 for CuKα, from DFT lattice parameters and positions (PBE+U).
Peak positions follow from Bragg's law for the DFT cell and can differ from measured ones.

Structural model:
Cell lengths 5.8319, 5.9124, 9.5802 Å; angles 90.84, 90.37, 119.24 degrees
Sites, in units of the cell vectors:
Li  0.0000  0.0000  0.0000
Li  0.0051  0.9864  0.4975
Li  0.1804  0.7985  0.0766
Li  0.2015  0.4015  0.0655
Li  0.3386  0.6621  0.2912
Li  0.4055  0.2098  0.5684
Li  0.6190  0.7984  0.0755
Li  0.6735  0.3405  0.7945
Li  0.8072  0.6160  0.5718
Li  0.8168  0.1908  0.5761
Fe  0.3297  0.6550  0.5475
Fe  0.6542  0.3055  0.0529
Co  0.1675  0.8287  0.8043
Co  0.6616  0.8282  0.8046
Co  0.8286  0.6462  0.3045
Ni  0.1685  0.3333  0.8032
Ni  0.3345  0.1569  0.3037
Ni  0.8329  0.1557  0.3051
O  0.0204  0.5174  0.6852
O  0.1549  0.8054  0.4225
O  0.1702  0.3196  0.4350
O  0.3296  0.1544  0.9245
O  0.3422  0.6807  0.9147
O  0.4845  0.9708  0.6850
O  0.5004  0.5176  0.6861
O  0.5038  0.0031  0.1797
O  0.5153  0.4875  0.1798
O  0.6678  0.8083  0.4262
O  0.6759  0.3382  0.4181
O  0.8239  0.1546  0.9239
O  0.8398  0.6761  0.9168
O  0.9772  0.4850  0.1792
O  0.9852  0.9625  0.1955
O  0.9863  0.9773  0.6966

Peak list (6 most intense, 2θ = 5–70°, low angle first)
d (Å)  Position (°2θ)  intensity
4.789  18.53  100
4.514  19.67  52
4.474  19.84  79
2.500  35.92  63
2.449  36.70  51
1.987  45.65  56